No. 1
Computed powder diffractogram of CsSmBe2F8 for Cu Kα (λ = 1.5418 Å), from a crystal structure in Alexandria, relaxed with GGA-PBE.
No peak broadening, texture or thermal motion is included.

Atomic structure:
```
data_CsSmBe2F8
_chemical_formula_sum 'Cs1 Sm1 Be2 F8'
_symmetry_space_group_name_H-M 'P 1'
_symmetry_Int_Tables_number 1
_cell_length_a 5.173
_cell_length_b 5.173
_cell_length_c 8.934
_cell_angle_alpha 94.69
_cell_angle_beta 94.69
_cell_angle_gamma 65.89
loop_
_symmetry_equiv_pos_as_xyz
'x,y,z'
loop_
_atom_site_label
_atom_site_fract_x
_atom_site_fract_y
_atom_site_fract_z
Cs1 0.000 0.000 0.000
Sm1 0.000 0.000 0.500
Be1 0.382 0.382 0.712
Be2 0.618 0.618 0.288
F1 0.255 0.255 0.570
F2 0.255 0.713 0.685
F3 0.287 0.745 0.315
F4 0.320 0.320 0.862
F5 0.680 0.680 0.138
F6 0.713 0.255 0.685
F7 0.745 0.287 0.315
F8 0.745 0.745 0.430
```

Principal peaks in the range 2θ = 15–90°, sorted by position:
2theta  I/Imax
18.82  100.0
19.97  40.1
20.56  62.7
26.82  66.7
28.32  58.1
31.81  21.0
35.00  39.5
37.85  34.6
42.44  25.1
44.11  21.9

=====

No. 2
Computed powder diffractogram of In5Ga3Hg4 for Cu Kα (λ = 1.5418 Å), from a crystal structure in Alexandria, relaxed with GGA-PBE.
No peak broadening, texture or thermal motion is included.

Atomic structure:
```
data_In5Ga3Hg4
_chemical_formula_sum 'In5 Ga3 Hg4'
_symmetry_space_group_name_H-M 'P 1'
_symmetry_Int_Tables_number 1
_cell_length_a 5.059
_cell_length_b 6.558
_cell_length_c 9.744
_cell_angle_alpha 90.78
_cell_angle_beta 102.50
_cell_angle_gamma 102.46
loop_
_symmetry_equiv_pos_as_xyz
'x,y,z'
loop_
_atom_site_label
_atom_site_fract_x
_atom_site_fract_y
_atom_site_fract_z
In1 0.000 0.000 0.000
In2 0.043 0.728 0.293
In3 0.332 0.947 0.618
In4 0.668 0.053 0.382
In5 0.957 0.272 0.707
Ga1 0.000 0.500 0.000
Ga2 0.491 0.824 0.105
Ga3 0.509 0.176 0.895
Hg1 0.231 0.347 0.427
Hg2 0.487 0.622 0.827
Hg3 0.513 0.378 0.173
Hg4 0.769 0.653 0.573
```

Principal peaks in the range 2θ = 15–90°, sorted by position:
2theta  I/Imax
28.96  74.5
30.09  70.8
30.72  38.6
32.11  100.0
32.24  56.0
34.81  38.5
36.39  48.7
38.90  59.5
45.11  25.2
63.52  23.7

=====

No. 3
Computed powder diffractogram of PrMgRu2O7 for Cu Kα (λ = 1.5418 Å), from a crystal structure in Alexandria, relaxed with GGA-PBE.
No peak broadening, texture or thermal motion is included.

Atomic structure:
```
data_PrMgRu2O7
_chemical_formula_sum 'Pr1 Mg1 Ru2 O7'
_symmetry_space_group_name_H-M 'P 1'
_symmetry_Int_Tables_number 1
_cell_length_a 9.611
_cell_length_b 9.611
_cell_length_c 9.611
_cell_angle_alpha 156.54
_cell_angle_beta 156.54
_cell_angle_gamma 33.42
loop_
_symmetry_equiv_pos_as_xyz
'x,y,z'
loop_
_atom_site_label
_atom_site_fract_x
_atom_site_fract_y
_atom_site_fract_z
Pr1 0.000 0.000 0.000
Mg1 0.750 0.250 0.500
Ru1 0.387 0.387 0.000
Ru2 0.613 0.613 0.000
O1 0.092 0.592 0.500
O2 0.285 0.285 0.000
O3 0.408 0.908 0.500
O4 0.500 0.500 0.000
O5 0.603 0.103 0.500
O6 0.715 0.715 0.000
O7 0.897 0.397 0.500
```

Principal peaks in the range 2θ = 15–90°, sorted by position:
2theta  I/Imax
27.05  100.0
32.40  44.5
33.44  71.4
33.87  22.4
39.15  18.0
46.47  39.7
51.69  20.4
54.60  27.7
58.45  30.1
62.34  17.6

=====

No. 4
Computed powder diffractogram of Sm3Er5 for Cu Kα (λ = 1.5418 Å), from a crystal structure in Alexandria, relaxed with GGA-PBE.
No peak broadening, texture or thermal motion is included.

Atomic structure:
```
data_Sm3Er5
_chemical_formula_sum 'Sm3 Er5'
_symmetry_space_group_name_H-M 'P 1'
_symmetry_Int_Tables_number 1
_cell_length_a 3.618
_cell_length_b 5.658
_cell_length_c 12.551
_cell_angle_alpha 90.00
_cell_angle_beta 90.00
_cell_angle_gamma 90.00
loop_
_symmetry_equiv_pos_as_xyz
'x,y,z'
loop_
_atom_site_label
_atom_site_fract_x
_atom_site_fract_y
_atom_site_fract_z
Sm1 0.000 0.000 0.000
Sm2 0.000 0.500 0.173
Sm3 0.500 0.000 0.256
Er1 0.000 0.000 0.507
Er2 0.000 0.500 0.669
Er3 0.500 0.000 0.751
Er4 0.500 0.500 0.425
Er5 0.500 0.500 0.915
```

Principal peaks in the range 2θ = 15–90°, sorted by position:
2theta  I/Imax
28.47  23.8
31.62  24.2
32.65  100.0
43.06  15.6
50.41  19.6
56.98  20.6
60.74  22.5
61.36  16.3
83.34  9.4
87.52  8.4

=====

No. 5
Computed powder diffractogram of Tb8NdSm2 for Cu Kα (λ = 1.5418 Å), from a crystal structure in Alexandria, relaxed with GGA-PBE.
No peak broadening, texture or thermal motion is included.

Atomic structure:
```
data_Tb8NdSm2
_chemical_formula_sum 'Tb8 Nd1 Sm2'
_symmetry_space_group_name_H-M 'P 1'
_symmetry_Int_Tables_number 1
_cell_length_a 9.412
_cell_length_b 9.412
_cell_length_c 9.412
_cell_angle_alpha 145.63
_cell_angle_beta 128.49
_cell_angle_gamma 63.40
loop_
_symmetry_equiv_pos_as_xyz
'x,y,z'
loop_
_atom_site_label
_atom_site_fract_x
_atom_site_fract_y
_atom_site_fract_z
Tb1 0.155 0.362 0.794
Tb2 0.162 0.162 0.000
Tb3 0.295 0.000 0.295
Tb4 0.432 0.638 0.794
Tb5 0.568 0.362 0.206
Tb6 0.705 0.000 0.705
Tb7 0.838 0.838 0.000
Tb8 0.845 0.638 0.206
Nd1 0.000 0.500 0.500
Sm1 0.300 0.800 0.500
Sm2 0.700 0.200 0.500
```

Principal peaks in the range 2θ = 15–90°, sorted by position:
2theta  I/Imax
29.58  27.4
31.92  100.0
32.21  50.2
33.34  12.3
33.58  14.5
47.20  11.2
55.81  14.2
57.22  19.1
62.66  11.8
63.69  11.8

=====

No. 6
Computed powder diffractogram of Zr4BeOs3 for Cu Kα (λ = 1.5418 Å), from a crystal structure in Alexandria, relaxed with GGA-PBE.
No peak broadening, texture or thermal motion is included.

Atomic structure:
```
data_Zr4BeOs3
_chemical_formula_sum 'Zr4 Be1 Os3'
_symmetry_space_group_name_H-M 'P 1'
_symmetry_Int_Tables_number 1
_cell_length_a 3.275
_cell_length_b 3.275
_cell_length_c 12.963
_cell_angle_alpha 90.00
_cell_angle_beta 90.00
_cell_angle_gamma 90.00
loop_
_symmetry_equiv_pos_as_xyz
'x,y,z'
loop_
_atom_site_label
_atom_site_fract_x
_atom_site_fract_y
_atom_site_fract_z
Zr1 0.000 0.000 0.119
Zr2 0.000 0.000 0.373
Zr3 0.000 0.000 0.627
Zr4 0.000 0.000 0.881
Be1 0.500 0.500 0.000
Os1 0.500 0.500 0.244
Os2 0.500 0.500 0.500
Os3 0.500 0.500 0.756
```

Principal peaks in the range 2θ = 15–90°, sorted by position:
2theta  I/Imax
28.10  8.2
30.59  7.9
34.36  10.0
38.89  51.6
39.11  100.0
56.18  17.6
56.82  8.0
70.57  34.9
71.00  16.3
84.03  10.5